This entry pairs a crystal structure of Au4Br5N2 with its theoretical X-ray powder pattern. Radiation: Cu Kα (λ = 1.5418 Å). Structure: a DFT-relaxed cell (PBE, Alexandria).

Structural model:
Lattice parameters (Å, degrees): 4.234 9.672 12.747 79.54 86.74 84.32
Space group P-1 (No. 2)
Asymmetric unit:
Au1 0.190 0.338 0.130
Au2 0.278 0.977 0.344
Br1 0.109 0.824 0.744
Br2 0.241 0.166 0.593
Br3 0.500 0.500 0.000
N1 0.498 0.052 0.972

Main lines, sorted by position (5° ≤ 2θ ≤ 70°):
(0 1 0), 9.473 Å, I = 20; (0 1 1), 8.295 Å, I = 100; (0 1 2), 5.710 Å, I = 43; (0 1 3), 4.098 Å, I = 13; (0 2 3), 3.450 Å, I = 30; (1 -1 2), 3.154 Å, I = 14